(1)
This entry pairs a crystal structure of BaSeO3 with its calculated XRD peak list. Radiation: CuKα. Structure: the GGA-PBE geometry in Alexandria.

The 10 most intense peaks (10 to 90 degrees two-theta), sorted by position:
| 2theta | intensity |
| --- | --- |
| 26.2 | 100 |
| 29.9 | 59 |
| 40.1 | 34 |
| 43.7 | 23 |
| 50.8 | 26 |
| 53.1 | 14 |
| 62.1 | 10 |
| 62.8 | 16 |
| 68.6 | 13 |
| 69.9 | 10 |

Structure:
Lattice parameters (Å, degrees): 5.9794 5.9794 18.0858 90.00 90.00 120.00
Space group R3c (No. 161, hexagonal axes)
Symmetry-distinct sites (fractional):
Ba 0.0000 0.0000 0.0000
Se 0.0000 0.0000 0.2356
O 0.0395 0.4577 0.4443

=====

(2)
This entry pairs a crystal structure of Ba3Se2O with its calculated XRD peak list. Radiation: CuKα. Structure: the GGA-PBE geometry in Alexandria.

The 10 most intense peaks (10 to 90 degrees two-theta), sorted by position:
| 2theta | intensity |
| --- | --- |
| 23.5 | 50 |
| 24.7 | 33 |
| 26.3 | 55 |
| 26.8 | 41 |
| 28.4 | 20 |
| 32.1 | 34 |
| 33.5 | 100 |
| 40.9 | 19 |
| 42.3 | 18 |
| 43.0 | 21 |

Structure:
Lattice parameters (Å, degrees): 12.8120 8.2177 7.5732 90.00 90.00 90.00
Space group Cmc2_1 (No. 36)
Symmetry-distinct sites (fractional):
Ba 0.0000 0.1094 0.0000
Ba 0.1455 0.4693 0.6178
Se 0.1631 0.1648 0.3447
O 0.0000 0.3973 0.8712

=====

(3)
This entry pairs a crystal structure of Ba2Sm3Si3SeO12 with its calculated XRD peak list. Radiation: CuKα. Structure: the GGA-PBE geometry in Alexandria.

The 10 most intense peaks (10 to 90 degrees two-theta), sorted by position:
| 2theta | intensity |
| --- | --- |
| 21.5 | 23 |
| 26.9 | 11 |
| 29.7 | 37 |
| 30.6 | 100 |
| 43.8 | 22 |
| 46.9 | 12 |
| 47.0 | 15 |
| 48.7 | 13 |
| 60.2 | 15 |
| 60.6 | 11 |

Structure:
Lattice parameters (Å, degrees): 10.1101 10.1101 7.1773 90.00 90.00 120.00
Space group P6_3/m (No. 176)
Symmetry-distinct sites (fractional):
Ba 0.3333 0.6667 0.0013
Sm 0.0030 0.7373 0.7500
Si 0.0207 0.6393 0.2500
Se 0.0000 0.0000 0.0000
O 0.0813 0.5141 0.2500
O 0.0988 0.7533 0.0687
O 0.1654 0.4450 0.7500

=====

(4)
This entry pairs a crystal structure of BaSrSmSeO6 with its calculated XRD peak list. Radiation: CuKα. Structure: the GGA-PBE geometry in Alexandria.

The 10 most intense peaks (10 to 90 degrees two-theta), sorted by position:
| 2theta | intensity |
| --- | --- |
| 29.8 | 68 |
| 29.9 | 34 |
| 30.1 | 100 |
| 42.9 | 40 |
| 42.9 | 19 |
| 52.8 | 14 |
| 53.1 | 15 |
| 53.3 | 33 |
| 53.4 | 13 |
| 62.1 | 11 |

Structure:
Lattice parameters (Å, degrees): 5.9487 5.9751 8.4454 89.31 89.82 89.92
Space group P-1 (No. 2)
Symmetry-distinct sites (fractional):
Ba 0.0018 0.0091 0.2456
Sr 0.4972 0.5277 0.2381
Sm 0.0000 0.5000 0.0000
Sm 0.5000 0.0000 0.5000
Se 0.0000 0.5000 0.5000
Se 0.5000 0.0000 0.0000
O 0.0502 0.4825 0.7180
O 0.2198 0.7224 0.4836
O 0.2220 0.8016 0.0125
O 0.2246 0.2850 0.4670
O 0.3105 0.2866 0.0326
O 0.4612 0.0403 0.7595

=====

(5)
This entry pairs a crystal structure of BaSrSmSeO6 with its calculated XRD peak list. Radiation: CuKα. Structure: the GGA-PBE geometry in Alexandria.

The 10 most intense peaks (10 to 90 degrees two-theta), sorted by position:
| 2theta | intensity |
| --- | --- |
| 18.2 | 6 |
| 29.9 | 100 |
| 35.3 | 5 |
| 42.8 | 31 |
| 46.9 | 3 |
| 53.1 | 40 |
| 62.2 | 19 |
| 70.5 | 18 |
| 78.5 | 6 |
| 86.2 | 22 |

Structure:
Lattice parameters (Å, degrees): 8.4428 8.4428 8.4428 90.00 90.00 90.00
Space group F-43m (No. 216)
Symmetry-distinct sites (fractional):
Ba 0.0000 0.0000 0.0000
Sr 0.0000 0.0000 0.5000
Sm 0.2500 0.2500 0.7500
Se 0.2500 0.2500 0.2500
O 0.0185 0.2500 0.2500

=====

(6)
This entry pairs a crystal structure of BaUSeO2 with its calculated XRD peak list. Radiation: CuKα. Structure: the GGA-PBE geometry in Alexandria.

The 10 most intense peaks (10 to 90 degrees two-theta), sorted by position:
| 2theta | intensity |
| --- | --- |
| 14.6 | 25 |
| 20.2 | 38 |
| 25.0 | 100 |
| 28.8 | 87 |
| 29.4 | 26 |
| 36.0 | 76 |
| 41.2 | 45 |
| 41.6 | 34 |
| 48.8 | 34 |
| 55.8 | 44 |

Structure:
Lattice parameters (Å, degrees): 4.3866 4.3866 6.0747 90.00 90.00 90.00
Space group P4mm (No. 99)
Symmetry-distinct sites (fractional):
Ba 0.0000 0.0000 0.0000
U 0.5000 0.5000 0.3624
Se 0.5000 0.5000 0.8388
O 0.0000 0.5000 0.3007

=====

(7)
This entry pairs a crystal structure of BaZnSe4O12 with its calculated XRD peak list. Radiation: CuKα. Structure: the GGA-PBE geometry in Alexandria.

The 10 most intense peaks (10 to 90 degrees two-theta), sorted by position:
| 2theta | intensity |
| --- | --- |
| 20.0 | 72 |
| 22.9 | 23 |
| 32.6 | 52 |
| 33.0 | 100 |
| 38.5 | 26 |
| 46.8 | 44 |
| 47.9 | 19 |
| 58.5 | 40 |
| 59.2 | 21 |
| 69.2 | 23 |

Structure:
Lattice parameters (Å, degrees): 5.4890 5.4890 7.5975 90.00 90.00 90.00
Space group P4/mmm (No. 123)
Symmetry-distinct sites (fractional):
Ba 0.0000 0.0000 0.0000
Zn 0.5000 0.5000 0.5000
Se 0.0000 0.5000 0.2587
O 0.0000 0.5000 0.0000
O 0.0000 0.5000 0.5000
O 0.2601 0.2601 0.2776

=====

(8)
This entry pairs a crystal structure of Ba3Zr2Se2O5 with its calculated XRD peak list. Radiation: CuKα. Structure: the GGA-PBE geometry in Alexandria.

The 10 most intense peaks (10 to 90 degrees two-theta), sorted by position:
| 2theta | intensity |
| --- | --- |
| 27.1 | 35 |
| 29.0 | 100 |
| 32.3 | 76 |
| 36.2 | 32 |
| 41.4 | 53 |
| 52.9 | 16 |
| 53.5 | 36 |
| 60.0 | 17 |
| 61.5 | 15 |
| 68.0 | 18 |

Structure:
Lattice parameters (Å, degrees): 4.3617 4.3617 25.0721 90.00 90.00 90.00
Space group I4/mmm (No. 139)
Symmetry-distinct sites (fractional):
Ba 0.0000 0.0000 0.0000
Ba 0.0000 0.0000 0.1687
Zr 0.0000 0.0000 0.4171
Se 0.0000 0.0000 0.3056
O 0.0000 0.0000 0.5000
O 0.0000 0.5000 0.0821

=====

(9)
This entry pairs a crystal structure of BaSiO3 with its calculated XRD peak list. Radiation: CuKα. Structure: the GGA-PBE geometry in Alexandria.

The 10 most intense peaks (10 to 90 degrees two-theta), sorted by position:
| 2theta | intensity |
| --- | --- |
| 15.5 | 34 |
| 25.3 | 42 |
| 25.5 | 45 |
| 26.6 | 41 |
| 28.0 | 100 |
| 28.1 | 52 |
| 28.8 | 71 |
| 32.7 | 28 |
| 36.5 | 45 |
| 43.3 | 22 |

Structure:
Lattice parameters (Å, degrees): 7.9231 6.3917 14.3757 90.00 118.06 90.00
Space group P2_1/c (No. 14)
Symmetry-distinct sites (fractional):
Ba 0.2107 0.1017 0.1249
Ba 0.2571 0.5931 0.3352
Si 0.1705 0.0869 0.4099
Si 0.4521 0.6483 0.1124
O 0.0272 0.6078 0.8555
O 0.0704 0.1874 0.9007
O 0.3145 0.0910 0.3509
O 0.3244 0.0539 0.5388
O 0.3977 0.6351 0.5473
O 0.4375 0.6609 0.2206

=====

(10)
This entry pairs a crystal structure of BaSiO3 with its calculated XRD peak list. Radiation: CuKα. Structure: the GGA-PBE geometry in Alexandria.

The 10 most intense peaks (10 to 90 degrees two-theta), sorted by position:
| 2theta | intensity |
| --- | --- |
| 23.8 | 36 |
| 25.8 | 100 |
| 26.2 | 55 |
| 28.1 | 34 |
| 31.4 | 18 |
| 37.8 | 26 |
| 38.9 | 27 |
| 39.8 | 20 |
| 43.0 | 24 |
| 43.6 | 31 |

Structure:
Lattice parameters (Å, degrees): 4.6355 5.6904 12.7051 90.00 90.00 90.00
Space group P2_12_12_1 (No. 19)
Symmetry-distinct sites (fractional):
Ba 0.2294 0.1844 0.1422
Si 0.1812 0.8035 0.9271
O 0.1710 0.2770 0.5426
O 0.2407 0.0802 0.9064
O 0.2504 0.3784 0.3325